No. 1
# Sr3Cd2RhO6
Simulated powder X-ray diffraction pattern, Cu Kα, 1.54184 Å. Input: DFT lattice parameters and positions (PBE).

Peak list (10 most intense, 2θ = 10–80°, sorted by position)
d_spacing, intensity
2.920, 100
2.774, 65
2.192, 27
2.011, 40
1.686, 19
1.656, 28
1.576, 16
1.460, 17
1.292, 12
1.253, 15

```
Sr3Cd2RhO6
1.0
5.840 0.000 0.000
-2.920 5.058 0.000
0.000 0.000 6.635
Sr Cd Rh O
3 2 1 6
Direct
0.000 0.000 0.000
0.333 0.667 0.603
0.667 0.333 0.397
0.333 0.667 0.108
0.667 0.333 0.892
0.000 0.000 0.500
0.161 0.321 0.319
0.161 0.839 0.319
0.321 0.161 0.681
0.679 0.839 0.319
0.839 0.161 0.681
0.839 0.679 0.681
```



No. 2
# Ti4MoP
Simulated powder X-ray diffraction pattern, Cu Kα, 1.54184 Å. Input: DFT lattice parameters and positions (PBE).

Peak list (10 most intense, 2θ = 10–80°, sorted by position)
d_spacing, intensity
5.530, 26
3.746, 79
3.101, 18
2.765, 73
2.369, 27
2.051, 100
1.873, 21
1.798, 18
1.622, 46
1.550, 16

```
Ti4MoP
1.0
-3.746 3.746 4.099
3.746 -3.746 4.099
3.746 3.746 -4.099
Ti Mo P
8 2 2
Direct
0.205 0.518 0.687
0.268 0.082 0.813
0.268 0.455 0.187
0.312 0.000 0.312
0.688 0.000 0.688
0.750 0.562 0.812
0.750 0.938 0.188
0.832 0.518 0.313
0.014 0.014 0.000
0.764 0.264 0.500
0.258 0.758 0.500
0.508 0.508 0.000
```